(1)
Computed powder X-ray diffraction pattern of KURhN3 for a wavelength of 1.5418 Å, from a structure optimized by DFT (PBE).
Kinematic intensities with the Lorentz-polarization factor, no thermal factor.

The 10 most intense peaks (10 to 90 degrees two-theta), sorted by position:
10.1°, I = 15; 13.1°, I = 100; 26.3°, I = 18; 31.0°, I = 11; 31.6°, I = 17; 32.4°, I = 26; 34.9°, I = 24; 36.2°, I = 10; 38.3°, I = 12; 44.9°, I = 10

Structure:
a = 7.4560 Å, b = 3.5587 Å, c = 9.4216 Å
α = 90.00°, β = 111.43°, γ = 90.00°
Element x y z (fractional)
K (0.2126, 0.2500, 0.1951)
K (0.7874, 0.7500, 0.8049)
U (0.3149, 0.7500, 0.8612)
U (0.6851, 0.2500, 0.1388)
Rh (0.0294, 0.2500, 0.6137)
Rh (0.9706, 0.7500, 0.3863)
N (0.1403, 0.2500, 0.8559)
N (0.1578, 0.7500, 0.6136)
N (0.4817, 0.7500, 0.1082)
N (0.5183, 0.2500, 0.8918)
N (0.8422, 0.2500, 0.3864)
N (0.8597, 0.7500, 0.1441)



(2)
Computed powder X-ray diffraction pattern of Tl2CdI5 for a wavelength of 1.5418 Å, from a structure optimized by DFT (PBE).
Kinematic intensities with the Lorentz-polarization factor, no thermal factor.

The 10 most intense peaks (10 to 90 degrees two-theta), sorted by position:
10.0°, I = 76; 14.0°, I = 82; 22.8°, I = 63; 26.3°, I = 93; 28.9°, I = 100; 29.4°, I = 31; 30.4°, I = 24; 35.1°, I = 42; 35.4°, I = 36; 39.5°, I = 86

Structure:
a = 9.4411 Å, b = 9.4411 Å, c = 13.0305 Å
α = 90.00°, β = 90.00°, γ = 138.00°
Element x y z (fractional)
Tl (0.1705, 0.8295, 0.5989)
Tl (0.1705, 0.8295, 0.9011)
Tl (0.8295, 0.1705, 0.0989)
Tl (0.8295, 0.1705, 0.4011)
Cd (0.1765, 0.8235, 0.2500)
Cd (0.8235, 0.1765, 0.7500)
I (0.0338, 0.9662, 0.1198)
I (0.0338, 0.9662, 0.3802)
I (0.2926, 0.7074, 0.0929)
I (0.2926, 0.7074, 0.4071)
I (0.3247, 0.6753, 0.7500)
I (0.6753, 0.3247, 0.2500)
I (0.7074, 0.2926, 0.5929)
I (0.7074, 0.2926, 0.9071)
I (0.9662, 0.0338, 0.6198)
I (0.9662, 0.0338, 0.8802)



(3)
Computed powder X-ray diffraction pattern of Ca4Sc for a wavelength of 1.5418 Å, from a structure optimized by DFT (PBE).
Kinematic intensities with the Lorentz-polarization factor, no thermal factor.

The 10 most intense peaks (10 to 90 degrees two-theta), sorted by position:
18.8°, I = 16; 24.0°, I = 20; 29.1°, I = 100; 30.7°, I = 50; 33.6°, I = 22; 38.8°, I = 16; 39.3°, I = 35; 50.7°, I = 22; 56.5°, I = 29; 65.1°, I = 16

Structure:
a = 9.9585 Å, b = 9.9585 Å, c = 9.9585 Å
α = 153.38°, β = 153.38°, γ = 38.00°
Element x y z (fractional)
Ca (0.0908, 0.0908, 0.0000)
Ca (0.2500, 0.7500, 0.5000)
Ca (0.7500, 0.2500, 0.5000)
Ca (0.9092, 0.9092, 0.0000)
Sc (0.5000, 0.5000, 0.0000)



What did the third record say?
Computed powder X-ray diffraction pattern of Ca4Sc for a wavelength of 1.5418 Å, from a structure optimized by DFT (PBE).
Kinematic intensities with the Lorentz-polarization factor, no thermal factor.

The 10 most intense peaks (10 to 90 degrees two-theta), sorted by position:
18.8°, I = 16; 24.0°, I = 20; 29.1°, I = 100; 30.7°, I = 50; 33.6°, I = 22; 38.8°, I = 16; 39.3°, I = 35; 50.7°, I = 22; 56.5°, I = 29; 65.1°, I = 16

Structure:
a = 9.9585 Å, b = 9.9585 Å, c = 9.9585 Å
α = 153.38°, β = 153.38°, γ = 38.00°
Element x y z (fractional)
Ca (0.0908, 0.0908, 0.0000)
Ca (0.2500, 0.7500, 0.5000)
Ca (0.7500, 0.2500, 0.5000)
Ca (0.9092, 0.9092, 0.0000)
Sc (0.5000, 0.5000, 0.0000)